For Ca4CoW, a cell relaxed with GGA-PBE gives the computed powder diffractogram in this record (a wavelength of 1.5418 Å).
Lines closer than 0.1° are merged.

Structural model:
Cell lengths 8.771, 8.771, 8.771 Å; angles 90.00, 90.00, 90.00 degrees
Space group F-43m (No. 216)
Asymmetric unit:
Ca 0.125 0.125 0.125
Co 0.250 0.250 0.750
W 0.000 0.000 0.500

Largest 6 diffraction maxima, by angle, 2θ from 10° to 90°:
hkl  2θ/deg  d (Å)  intensity
1 1 1  17.51  5.064  31.4
2 2 0  28.79  3.101  62.2
3 1 1  33.90  2.645  100.0
4 2 2  51.01  1.790  25.3
5 1 1  54.35  1.688  33.4
4 4 0  59.63  1.551  21.4